No. 1
Starting from DFT lattice parameters and positions (GGA-PBE), the powder X-ray diffraction pattern of Pu8NiPt5 was calculated for Cu Kα X-rays.
Kinematic intensities with the Lorentz-polarization factor, no thermal factor.

Cell and atoms:
a = 8.6633 Å, b = 8.6633 Å, c = 8.6830 Å
α = 90.00°, β = 90.00°, γ = 90.00°
Space group I-4 (No. 82)
Inequivalent atoms, fractional coordinates:
Pu (0.0697, 0.3228, 0.0509) (multiplicity 8)
Pu (0.0716, 0.1861, 0.6978) (multiplicity 8)
Ni (0.0000, 0.5000, 0.7500) (multiplicity 2)
Pt (0.0000, 0.0000, 0.0000) (multiplicity 2)
Pt (0.1228, 0.2477, 0.3730) (multiplicity 8)

Most intense lines, 5° ≤ 2θ ≤ 70°, by intensity:
index	d (Å)	I_rel
1 3 0	2.742	100
1 2 3	2.317	67
4 2 2	1.770	18
1 6 1	1.406	17
1 4 3	1.701	16
4 3 1	1.699	9
4 0 2	1.938	9
2 3 3	1.848	8
1 1 6	1.408	8
6 2 0	1.370	7

No. 2
Starting from DFT lattice parameters and positions (GGA-PBE), the powder X-ray diffraction pattern of Cu2SnSe2S was calculated for Cu Kα X-rays.
Kinematic intensities with the Lorentz-polarization factor, no thermal factor.

Cell and atoms:
a = 12.0156 Å, b = 6.9170 Å, c = 6.6076 Å
α = 90.00°, β = 90.00°, γ = 90.00°
Space group Cmc2_1 (No. 36)
Inequivalent atoms, fractional coordinates:
Cu (0.1590, 0.1735, 0.0000) (multiplicity 8)
Sn (0.0000, 0.3237, 0.5046) (multiplicity 4)
Se (0.1774, 0.1556, 0.6331) (multiplicity 8)
S (0.0000, 0.3200, 0.1136) (multiplicity 4)

Most intense lines, 5° ≤ 2θ ≤ 70°, by intensity:
index	d (Å)	I_rel
0 2 0	3.463	100
3 1 3	1.859	87
3 1 1	3.068	75
0 0 2	3.304	59
3 3 0	1.998	54
3 3 2	1.711	48
0 2 2	2.390	36
6 0 0	2.003	26
6 2 3	1.362	18
1 1 1	4.440	18

No. 3
Starting from DFT lattice parameters and positions (GGA-PBE), the powder X-ray diffraction pattern of YAl2Cl8 was calculated for Cu Kα X-rays.
Kinematic intensities with the Lorentz-polarization factor, no thermal factor.

Cell and atoms:
a = 13.4062 Å, b = 9.1245 Å, c = 6.3955 Å
α = 90.00°, β = 97.96°, γ = 90.00°
Space group C2/m (No. 12)
Inequivalent atoms, fractional coordinates:
Y (0.0000, 0.0000, 0.0000) (multiplicity 2)
Al (0.1877, 0.0000, 0.6452) (multiplicity 4)
Cl (0.1024, 0.1824, 0.7586) (multiplicity 8)
Cl (0.1575, 0.5000, 0.2390) (multiplicity 4)
Cl (0.1709, 0.0000, 0.2942) (multiplicity 4)

Most intense lines, 5° ≤ 2θ ≤ 70°, by intensity:
index	d (Å)	I_rel
1 1 0	7.520	100
2 2 -1	3.351	57
1 1 1	4.667	28
0 2 0	4.562	25
3 1 1	3.196	21
3 3 -1	2.396	17
2 0 1	4.295	16
6 2 0	1.991	15
2 2 -2	2.522	12
5 3 0	2.000	12